Mn4H: computed powder diffractogram (a wavelength of 1.5418 Å), based on a cell relaxed with GGA-PBE.
Lines closer than 0.1° are merged.

Crystal structure
```
data_Mn4H
_cell_length_a 5.063
_cell_length_b 8.773
_cell_length_c 4.035
_cell_angle_alpha 90.00
_cell_angle_beta 90.00
_cell_angle_gamma 90.00
_space_group_name_H-M_alt 'C m c e'
_space_group_IT_number 64
_space_group_name_Hall '-C 2ac 2'
loop_
_atom_site_label
_atom_site_type_symbol
_atom_site_fract_x
_atom_site_fract_y
_atom_site_fract_z
Mn1 Mn 0.000 0.170 0.243
Mn2 Mn 0.250 0.088 0.750
H1 H 0.000 0.000 0.500
```

Largest 7 diffraction maxima, low angle first, 2θ = 10–90°:
41.16 deg, I 25
44.93 deg, I 26
47.17 deg, I 100
62.56 deg, I 13
75.02 deg, I 15
84.51 deg, I 16
89.36 deg, I 2

=====

PmDy6Mg2: computed powder diffractogram (a wavelength of 1.5418 Å), based on a cell relaxed with GGA-PBE.
Lines closer than 0.1° are merged.

Crystal structure
```
data_PmDy6Mg2
_cell_length_a 7.1962
_cell_length_b 7.1962
_cell_length_c 19.1312
_cell_angle_alpha 90.00
_cell_angle_beta 90.00
_cell_angle_gamma 120.00
_space_group_name_H-M_alt 'R 3 m'
_space_group_IT_number 160
_space_group_name_Hall 'R 3 -2"'
loop_
_atom_site_label
_atom_site_type_symbol
_atom_site_fract_x
_atom_site_fract_y
_atom_site_fract_z
Pm1 Pm 0.0000 0.0000 0.0000
Dy1 Dy 0.0063 0.5032 0.4475
Dy2 Dy 0.0384 0.5192 0.2485
Mg1 Mg 0.0000 0.0000 0.2574
Mg2 Mg 0.0000 0.0000 0.4346
```

Largest 12 diffraction maxima, low angle first, 2θ = 10–90°:
14.95 deg, I 66
16.98 deg, I 33
27.35 deg, I 28
27.98 deg, I 36
28.48 deg, I 22
29.03 deg, I 100
34.35 deg, I 98
37.21 deg, I 99
38.51 deg, I 36
50.75 deg, I 47
58.95 deg, I 22
68.30 deg, I 23